For BaSrCaCrO6, the PBE+U geometry in Alexandria gives the calculated powder diffractogram in this record (a wavelength of 1.5418 Å).

Atomic structure:
Lattice parameters (Å, degrees): 5.8200 5.8200 5.8200 60.00 60.00 60.00
Sites, in units of the cell vectors:
Ba (0.0000, 0.0000, 0.0000)
Sr (0.5000, 0.5000, 0.5000)
Ca (0.2500, 0.2500, 0.2500)
Cr (0.7500, 0.7500, 0.7500)
O (0.5249, 0.5249, 0.9751)
O (0.5249, 0.9751, 0.5249)
O (0.5249, 0.9751, 0.9751)
O (0.9751, 0.5249, 0.5249)
O (0.9751, 0.5249, 0.9751)
O (0.9751, 0.9751, 0.5249)

Main lines, sorted by position (5° ≤ 2θ ≤ 70°):
d (Å)  2θ (°)  I (rel.)
4.752  18.67  7
4.115  21.59  10
2.910  30.72  100
2.376  37.87  22
2.058  44.01  36
1.840  49.53  7
1.680  54.63  37
1.455  63.99  21